Mg14TiSnO16: calculated X-ray powder pattern (Cu Kα (weighted mean of Kα1 and Kα2)), based on DFT lattice parameters and positions (PBE).
Intensities are scaled so that the largest is 100.

Crystal structure
```
32
Lattice="8.7198 0.0000 0.0000 0.0000 8.7198 0.0000 0.0000 0.0000 4.3551" Properties=species:S:1:pos:R:3 pbc="T T T"
Mg 0.0000 2.1921 0.0000
Mg 0.0000 4.3599 2.1776
Mg 0.0000 6.5278 0.0000
Mg 2.0960 4.3599 0.0000
Mg 2.1438 2.1438 2.1776
Mg 2.1438 6.5761 2.1776
Mg 2.1921 0.0000 0.0000
Mg 4.3599 0.0000 2.1776
Mg 4.3599 2.0960 0.0000
Mg 4.3599 6.6239 0.0000
Mg 6.5278 0.0000 0.0000
Mg 6.5761 2.1438 2.1776
Mg 6.5761 6.5761 2.1776
Mg 6.6239 4.3599 0.0000
Ti 0.0000 0.0000 2.1776
Sn 4.3599 4.3599 2.1776
O 0.0000 0.0000 0.0000
O 0.0000 2.2061 2.1776
O 0.0000 4.3599 0.0000
O 0.0000 6.5137 2.1776
O 1.9913 4.3599 2.1776
O 2.1765 2.1765 0.0000
O 2.1765 6.5433 0.0000
O 2.2061 0.0000 2.1776
O 4.3599 0.0000 0.0000
O 4.3599 1.9913 2.1776
O 4.3599 4.3599 0.0000
O 4.3599 6.7285 2.1776
O 6.5137 0.0000 2.1776
O 6.5433 2.1765 0.0000
O 6.5433 6.5433 0.0000
O 6.7285 4.3599 2.1776
```

The 10 most intense peaks (10° ≤ 2θ ≤ 90°), low angle first:
| hkl | 2θ/deg | Rel. int. |
| --- | --- | --- |
| 1 0 0 | 10.14 | 11 |
| 1 1 0 | 14.37 | 14 |
| 2 0 0 | 20.38 | 14 |
| 1 1 1 | 25.03 | 11 |
| 2 2 0 | 28.97 | 12 |
| 2 2 1 | 35.68 | 24 |
| 0 0 2 | 41.44 | 100 |
| 4 0 2 | 60.04 | 58 |
| 6 2 1 | 71.84 | 14 |
| 4 4 2 | 75.58 | 18 |